Record 1
Structure and simulated X-ray diffraction stick pattern of KScMnCl6 (a cell relaxed with PBE; λ = 1.5418 Å (Cu Kα)).
Peak positions follow from Bragg's law for the DFT cell and can differ from measured ones.

Crystal structure
```
KScMnCl6
1.0
6.2604 0.0000 0.0000
-3.1302 5.4217 0.0000
0.0000 0.0000 14.4030
K Sc Mn Cl
2 2 2 12
Direct
0.0000 0.0000 0.0000
0.0000 0.0000 0.5000
0.3333 0.6667 0.2500
0.6667 0.3333 0.7500
0.3333 0.6667 0.7500
0.6667 0.3333 0.2500
0.0181 0.3736 0.6529
0.0181 0.6445 0.8471
0.3555 0.3736 0.8471
0.3555 0.9819 0.6529
0.3736 0.0181 0.1529
0.3736 0.3555 0.3471
0.6264 0.6445 0.6529
0.6264 0.9819 0.8471
0.6445 0.0181 0.3471
0.6445 0.6264 0.1529
0.9819 0.3555 0.1529
0.9819 0.6264 0.3471
```

Main lines, sorted by position (2θ = 10–90°):
2θ (°)  I (rel.)
12.29  93
20.50  88
31.16  85
38.09  100
46.05  20
47.75  24
50.50  35
59.23  25

=====

Record 2
Structure and simulated X-ray diffraction stick pattern of Sr2Tl12Pd7 (a cell relaxed with PBE; λ = 1.5418 Å (Cu Kα)).
Peak positions follow from Bragg's law for the DFT cell and can differ from measured ones.

Crystal structure
```
Sr2Tl12Pd7
1.0
11.7899 0.0000 0.0000
-5.8949 10.2103 0.0000
0.0000 0.0000 4.2735
Sr Tl Pd
2 12 7
Direct
0.0000 0.0000 0.0000
0.3333 0.6667 0.5000
0.0479 0.7755 0.5000
0.1160 0.4035 0.0000
0.2245 0.2724 0.5000
0.2875 0.8840 0.0000
0.3890 0.2075 0.0000
0.5402 0.1086 0.5000
0.5684 0.4598 0.5000
0.5965 0.7125 0.0000
0.7276 0.9521 0.5000
0.7925 0.1815 0.0000
0.8185 0.6110 0.0000
0.8914 0.4316 0.5000
0.0711 0.6167 0.0000
0.2478 0.0366 0.5000
0.3833 0.4543 0.0000
0.5457 0.9289 0.0000
0.6667 0.3333 0.0000
0.7888 0.7522 0.5000
0.9634 0.2112 0.5000
```

Main lines, sorted by position (2θ = 10–90°):
2θ (°)  I (rel.)
31.23  100
38.12  32
38.43  19
40.49  27
42.30  21
58.43  19
59.99  17
67.90  14

=====

Record 3
Structure and simulated X-ray diffraction stick pattern of LaIn6Ag (a cell relaxed with PBE; λ = 1.5418 Å (Cu Kα)).
Peak positions follow from Bragg's law for the DFT cell and can differ from measured ones.

Crystal structure
```
LaIn6Ag
1.0
3.9208 -5.5099 0.0000
3.9208 5.5099 0.0000
0.0000 0.0000 4.8542
La In Ag
1 6 1
Direct
0.0000 0.0000 0.0000
0.0000 0.5000 0.0000
0.2207 0.7793 0.5000
0.2996 0.2996 0.5000
0.5000 0.0000 0.0000
0.7004 0.7004 0.5000
0.7793 0.2207 0.5000
0.5000 0.5000 0.0000
```

Main lines, sorted by position (2θ = 10–90°):
2θ (°)  I (rel.)
32.50  27
33.58  100
37.04  22
46.31  9
50.09  16
58.68  15
64.57  15
70.59  7

=====

Record 4
Structure and simulated X-ray diffraction stick pattern of Pu2BeCuPd6 (a cell relaxed with PBE; λ = 1.5418 Å (Cu Kα)).
Peak positions follow from Bragg's law for the DFT cell and can differ from measured ones.

Crystal structure
```
Pu2BeCuPd6
1.0
5.9675 0.0000 0.0000
2.1749 5.5682 0.0000
2.2010 1.4755 5.3924
Pu Be Cu Pd
2 1 1 6
Direct
0.2060 0.2083 0.2078
0.7940 0.7917 0.7922
0.5000 0.5000 0.5000
0.0000 0.0000 0.0000
0.1770 0.6639 0.3399
0.3384 0.6574 0.8245
0.3418 0.1762 0.6612
0.6582 0.8238 0.3388
0.6616 0.3426 0.1755
0.8230 0.3361 0.6601
```

Main lines, sorted by position (2θ = 10–90°):
2θ (°)  I (rel.)
20.01  45
26.45  44
33.01  49
33.10  100
33.23  43
36.33  93
36.46  46
40.73  48

=====

Record 5
Structure and simulated X-ray diffraction stick pattern of Nd3Sm5Y3 (a cell relaxed with PBE; λ = 1.5418 Å (Cu Kα)).
Peak positions follow from Bragg's law for the DFT cell and can differ from measured ones.

Crystal structure
```
Nd3Sm5Y3
1.0
9.6898 0.0000 0.0000
-4.8449 8.3916 0.0000
0.0000 0.0000 5.6067
Nd Sm Y
3 5 3
Direct
0.0000 0.5846 0.0000
0.4154 0.4154 0.0000
0.5846 0.0000 0.0000
0.0000 0.3809 0.5000
0.3333 0.6667 0.5000
0.3809 0.0000 0.5000
0.6191 0.6191 0.5000
0.6667 0.3333 0.5000
0.0000 0.7494 0.5000
0.2506 0.2506 0.5000
0.7494 0.0000 0.5000
```

Main lines, sorted by position (2θ = 10–90°):
2θ (°)  I (rel.)
10.54  48
15.81  44
24.28  62
31.96  100
32.43  87
35.88  33
42.03  43
45.83  38

=====

Record 6
Structure and simulated X-ray diffraction stick pattern of Tm8Co2Pd (a cell relaxed with PBE; λ = 1.5418 Å (Cu Kα)).
Peak positions follow from Bragg's law for the DFT cell and can differ from measured ones.

Crystal structure
```
Tm8Co2Pd
1.0
4.1034 -6.1220 0.0000
4.1034 6.1220 0.0000
-1.6313 0.0000 5.4115
Tm Co Pd
8 2 1
Direct
0.0000 0.0000 0.0000
0.0310 0.2952 0.5958
0.1418 0.5957 0.1888
0.2952 0.0310 0.5958
0.4404 0.7044 0.7846
0.5957 0.1418 0.1888
0.7044 0.4404 0.7846
0.7411 0.7411 0.3791
0.0590 0.6772 0.6887
0.6772 0.0590 0.6887
0.3699 0.3699 0.0793
```

Main lines, sorted by position (2θ = 10–90°):
2θ (°)  I (rel.)
28.00  37
31.50  47
31.77  89
32.57  68
33.64  100
34.25  77
37.24  63
40.71  40

=====

Record 7
Structure and simulated X-ray diffraction stick pattern of Pr3PbO3 (a cell relaxed with PBE; λ = 1.5418 Å (Cu Kα)).
Peak positions follow from Bragg's law for the DFT cell and can differ from measured ones.

Crystal structure
```
Pr3PbO3
1.0
3.4591 1.9971 8.1389
-3.4591 1.9971 8.1389
0.0000 -3.9942 8.1389
Pr Pb O
6 2 6
Direct
0.0491 0.3980 0.7408
0.2592 0.9509 0.6020
0.3980 0.7408 0.0491
0.6020 0.2592 0.9509
0.7408 0.0491 0.3980
0.9509 0.6020 0.2592
0.1665 0.1665 0.1665
0.8335 0.8335 0.8335
0.0486 0.6977 0.3669
0.3023 0.6331 0.9514
0.3669 0.0486 0.6977
0.6331 0.9514 0.3023
0.6977 0.3669 0.0486
0.9514 0.3023 0.6331
```

Main lines, sorted by position (2θ = 10–90°):
2θ (°)  I (rel.)
15.23  14
28.03  100
33.01  25
34.02  54
45.41  32
52.15  18
54.22  16
57.28  27

=====

Record 8
Structure and simulated X-ray diffraction stick pattern of Cs2CrBr2Cl4 (a cell relaxed with PBE; λ = 1.5418 Å (Cu Kα)).
Peak positions follow from Bragg's law for the DFT cell and can differ from measured ones.

Crystal structure
```
Cs2CrBr2Cl4
1.0
-3.8290 3.8290 5.1350
3.8290 -3.8290 5.1350
3.8290 3.8290 -5.1350
Cs Cr Br Cl
2 1 2 4
Direct
0.2500 0.7500 0.5000
0.7500 0.2500 0.5000
0.0000 0.0000 0.0000
0.2418 0.2418 0.0000
0.7582 0.7582 0.0000
0.2137 0.2137 0.4275
0.2137 0.7863 0.0000
0.7863 0.2137 0.0000
0.7863 0.7863 0.5725
```

Main lines, sorted by position (2θ = 10–90°):
2θ (°)  I (rel.)
14.43  21
23.23  42
29.09  100
33.09  50
34.95  23
42.39  17
48.89  31
56.66  23

=====

Record 9
Structure and simulated X-ray diffraction stick pattern of Tb2Ce3ErBi6 (a cell relaxed with PBE; λ = 1.5418 Å (Cu Kα)).
Peak positions follow from Bragg's law for the DFT cell and can differ from measured ones.

Crystal structure
```
Tb2Ce3ErBi6
1.0
7.8163 0.0000 0.0000
-3.9081 6.7691 0.0000
0.0000 0.0000 7.7705
Tb Ce Er Bi
2 3 1 6
Direct
0.3333 0.6667 0.0000
0.6667 0.3333 0.0000
0.0000 0.0000 0.5000
0.3333 0.6667 0.5000
0.6667 0.3333 0.5000
0.0000 0.0000 0.0000
0.0000 0.3317 0.7573
0.0000 0.6683 0.2427
0.3317 0.0000 0.7573
0.3317 0.3317 0.2427
0.6683 0.0000 0.2427
0.6683 0.6683 0.7573
```

Main lines, sorted by position (2θ = 10–90°):
2θ (°)  I (rel.)
25.51  91
32.50  100
39.96  57
41.84  25
48.01  17
52.41  26
63.16  30
67.88  24

=====

Record 10
Structure and simulated X-ray diffraction stick pattern of Li2PuRuO8 (a cell relaxed with PBE; λ = 1.5418 Å (Cu Kα)).
Peak positions follow from Bragg's law for the DFT cell and can differ from measured ones.

Crystal structure
```
Li2PuRuO8
1.0
4.2177 0.0000 0.0000
-2.1089 3.6526 0.0000
0.0000 0.0000 9.0763
Li Pu Ru O
2 1 1 8
Direct
0.3333 0.6667 0.2809
0.6667 0.3333 0.7191
0.0000 0.0000 0.0000
0.0000 0.0000 0.5000
0.0140 0.6672 0.8597
0.3328 0.3468 0.8597
0.3333 0.6667 0.4929
0.3468 0.0140 0.1403
0.6532 0.9860 0.8597
0.6667 0.3333 0.5071
0.6672 0.6532 0.1403
0.9860 0.3328 0.1403
```

Main lines, sorted by position (2θ = 10–90°):
2θ (°)  I (rel.)
19.56  59
24.37  87
26.30  31
31.44  100
42.88  22
47.15  32
47.54  42
59.88  25

=====

Record 11
Structure and simulated X-ray diffraction stick pattern of Zn2CoS3 (a cell relaxed with PBE; λ = 1.5418 Å (Cu Kα)).
Peak positions follow from Bragg's law for the DFT cell and can differ from measured ones.

Crystal structure
```
Zn2CoS3
1.0
3.7563 0.0000 0.0000
-1.8781 3.2530 0.0000
0.0000 0.0000 9.3107
Zn Co S
2 1 3
Direct
0.0000 0.0000 0.0000
0.3333 0.6667 0.6565
0.6667 0.3333 0.3218
0.0000 0.0000 0.2542
0.3333 0.6667 0.9102
0.6667 0.3333 0.5663
```

Main lines, sorted by position (2θ = 10–90°):
2θ (°)  I (rel.)
28.77  34
29.08  100
33.61  15
48.06  41
48.47  40
56.98  13
57.34  26
57.52  13

=====

Record 12
Structure and simulated X-ray diffraction stick pattern of Tb4Pr5Tl (a cell relaxed with PBE; λ = 1.5418 Å (Cu Kα)).
Peak positions follow from Bragg's law for the DFT cell and can differ from measured ones.

Crystal structure
```
Tb4Pr5Tl
1.0
4.2469 0.0000 0.0000
0.0000 4.2469 0.0000
0.0000 0.0000 18.3970
Tb Pr Tl
4 5 1
Direct
0.0000 0.0000 0.1023
0.0000 0.0000 0.3057
0.0000 0.0000 0.6943
0.0000 0.0000 0.8977
0.5000 0.5000 0.0000
0.5000 0.5000 0.2045
0.5000 0.5000 0.4093
0.5000 0.5000 0.5907
0.5000 0.5000 0.7955
0.0000 0.0000 0.5000
```

Main lines, sorted by position (2θ = 10–90°):
2θ (°)  I (rel.)
29.75  63
32.19  100
42.58  24
54.36  46
58.87  17
67.34  11
70.06  11
86.82  13

=====

Record 13
Structure and simulated X-ray diffraction stick pattern of Sc2Cu2Ni5Ge (a cell relaxed with PBE; λ = 1.5418 Å (Cu Kα)).
Peak positions follow from Bragg's law for the DFT cell and can differ from measured ones.

Crystal structure
```
Sc2Cu2Ni5Ge
1.0
8.6831 0.0000 0.0000
0.0000 8.6831 0.0000
0.0000 0.0000 3.5841
Sc Cu Ni Ge
4 4 10 2
Direct
0.1754 0.3246 0.0000
0.3246 0.8246 0.0000
0.6754 0.1754 0.0000
0.8246 0.6754 0.0000
0.1212 0.6212 0.0000
0.3788 0.1212 0.0000
0.6212 0.8788 0.0000
0.8788 0.3788 0.0000
0.0000 0.5000 0.5000
0.0649 0.7989 0.5000
0.2011 0.0649 0.5000
0.2989 0.5649 0.5000
0.4351 0.2989 0.5000
0.5000 0.0000 0.5000
0.5649 0.7011 0.5000
0.7011 0.4351 0.5000
0.7989 0.9351 0.5000
0.9351 0.2011 0.5000
0.0000 0.0000 0.0000
0.5000 0.5000 0.0000
```

Main lines, sorted by position (2θ = 10–90°):
2θ (°)  I (rel.)
22.90  18
38.62  20
41.43  100
42.95  27
45.37  42
46.79  11
50.96  24
68.78  12